Entry 1:
Calculated XRD peak list of Y3ScSb4 for copper Kα, from a GGA-PBE-relaxed structure.
Peak positions follow from Bragg's law for the DFT cell and can differ from measured ones.

Peak list (6 most intense, 2θ from 10° to 80°, in order of rising 2θ)
- 29.11 deg, intensity 100, hkl 2 0 1
- 41.64 deg, intensity 74, hkl 0 0 2
- 51.61 deg, intensity 26, hkl 0 4 2
- 60.35 deg, intensity 12, hkl 4 0 2
- 68.39 deg, intensity 32, hkl 2 0 3
- 76.00 deg, intensity 24, hkl 2 4 3

Structural model:
Unit cell a=8.6732 b=12.2670 c=4.3400 alpha=90.00 beta=90.00 gamma=90.00
Space group Cmmm (No. 65)
Unique sites:
1 Y 0.0000 0.0000 0.0000
2 Y 0.2500 0.2500 0.5000
3 Sc 0.0000 0.5000 0.0000
4 Sb 0.0000 0.2551 0.0000
5 Sb 0.2399 0.5000 0.5000

---

Entry 2:
Calculated XRD peak list of Sc2ZnSb2 for copper Kα, from a GGA-PBE-relaxed structure.
Peak positions follow from Bragg's law for the DFT cell and can differ from measured ones.

Peak list (6 most intense, 2θ from 10° to 80°, in order of rising 2θ)
- 25.81 deg, intensity 22, hkl 2 1 0
- 32.53 deg, intensity 20, hkl 2 0 1
- 34.60 deg, intensity 100, hkl 2 1 1
- 36.82 deg, intensity 41, hkl 3 1 0
- 60.53 deg, intensity 18, hkl 3 1 2
- 69.86 deg, intensity 16, hkl 5 2 1

Structural model:
Unit cell a=7.7187 b=7.7187 c=3.9258 alpha=90.00 beta=90.00 gamma=90.00
Space group P4/mbm (No. 127)
Unique sites:
1 Sc 0.1474 0.3526 0.0000
2 Zn 0.0000 0.0000 0.0000
3 Sb 0.1596 0.6596 0.5000

---

Entry 3:
Calculated XRD peak list of Zr2Sc3Sb3 for copper Kα, from a GGA-PBE-relaxed structure.
Peak positions follow from Bragg's law for the DFT cell and can differ from measured ones.

Peak list (6 most intense, 2θ from 10° to 80°, in order of rising 2θ)
- 12.01 deg, intensity 57, hkl 1 0 0
- 25.87 deg, intensity 58, hkl 1 1 1
- 35.68 deg, intensity 71, hkl 2 1 1
- 36.57 deg, intensity 82, hkl 3 0 0
- 37.25 deg, intensity 100, hkl 1 1 2
- 47.08 deg, intensity 28, hkl 3 1 1

Structural model:
Unit cell a=8.5119 b=8.5119 c=5.8617 alpha=90.00 beta=90.00 gamma=120.00
Space group P6_3/mcm (No. 193)
Unique sites:
1 Zr 0.3333 0.6667 0.0000
2 Sc 0.0000 0.2544 0.2500
3 Sb 0.0000 0.3837 0.7500

---

Entry 4:
Calculated XRD peak list of Zr5Sc5Sb6 for copper Kα, from a GGA-PBE-relaxed structure.
Peak positions follow from Bragg's law for the DFT cell and can differ from measured ones.

Peak list (6 most intense, 2θ from 10° to 80°, in order of rising 2θ)
- 11.99 deg, intensity 51, hkl 0 1 1
- 25.89 deg, intensity 46, hkl 1 0 2
- 35.68 deg, intensity 77, hkl 1 5 1
- 36.53 deg, intensity 84, hkl 0 6 0
- 37.34 deg, intensity 100, hkl 2 0 2
- 47.05 deg, intensity 28, hkl 1 5 3

Structural model:
Unit cell a=5.8401 b=14.7486 c=8.5250 alpha=90.00 beta=90.00 gamma=90.00
Space group Amm2 (No. 38)
Unique sites:
1 Zr 0.0000 0.0000 0.0000
2 Zr 0.2498 0.1663 0.7613
3 Sc 0.0000 0.1280 0.3870
4 Sc 0.5000 0.0000 0.5174
5 Sc 0.5000 0.1271 0.1334
6 Sb 0.0000 0.0000 0.6412
7 Sb 0.0000 0.1926 0.0693
8 Sb 0.5000 0.0000 0.8767
9 Sb 0.5000 0.1915 0.4521

---

Entry 5:
Calculated XRD peak list of Zr3Sc2Sb3 for copper Kα, from a GGA-PBE-relaxed structure.
Peak positions follow from Bragg's law for the DFT cell and can differ from measured ones.

Peak list (6 most intense, 2θ from 10° to 80°, in order of rising 2θ)
- 20.99 deg, intensity 21, hkl 1 1 0
- 30.95 deg, intensity 33, hkl 0 0 2
- 35.94 deg, intensity 100, hkl 2 1 1
- 36.78 deg, intensity 31, hkl 3 0 0
- 37.70 deg, intensity 43, hkl 1 1 2
- 58.34 deg, intensity 24, hkl 2 1 3

Structural model:
Unit cell a=8.4660 b=8.4660 c=5.7783 alpha=90.00 beta=90.00 gamma=120.00
Space group P6_3/mcm (No. 193)
Unique sites:
1 Zr 0.0000 0.2452 0.2500
2 Sc 0.3333 0.6667 0.0000
3 Sb 0.0000 0.3922 0.7500

---

Entry 6:
Calculated XRD peak list of ZrSc2Sb3 for copper Kα, from a GGA-PBE-relaxed structure.
Peak positions follow from Bragg's law for the DFT cell and can differ from measured ones.

Peak list (6 most intense, 2θ from 10° to 80°, in order of rising 2θ)
- 26.30 deg, intensity 20, hkl 1 0 3
- 30.46 deg, intensity 100, hkl 1 1 0
- 43.62 deg, intensity 73, hkl 2 0 0
- 54.13 deg, intensity 25, hkl 2 0 6
- 63.39 deg, intensity 12, hkl 2 2 0
- 71.94 deg, intensity 31, hkl 3 1 0

Structural model:
Unit cell a=4.1492 b=4.1492 c=17.6182 alpha=90.00 beta=90.00 gamma=90.00
Space group I4/mmm (No. 139)
Unique sites:
1 Zr 0.0000 0.0000 0.0000
2 Sc 0.0000 0.0000 0.3334
3 Sb 0.0000 0.0000 0.1670
4 Sb 0.0000 0.0000 0.5000

---

Entry 7:
Calculated XRD peak list of SbSe for copper Kα, from a GGA-PBE-relaxed structure.
Peak positions follow from Bragg's law for the DFT cell and can differ from measured ones.

Peak list (6 most intense, 2θ from 10° to 80°, in order of rising 2θ)
- 22.17 deg, intensity 20, hkl 0 1 0
- 23.78 deg, intensity 80, hkl 0 0 2
- 31.14 deg, intensity 100, hkl 1 1 1
- 39.54 deg, intensity 58, hkl -1 1 2
- 39.61 deg, intensity 20, hkl 1 1 3
- 52.18 deg, intensity 18, hkl 2 0 3

Structural model:
Unit cell a=3.9681 b=4.1622 c=8.0100 alpha=75.08 beta=75.74 gamma=89.99
Space group P1 (No. 1)
Unique sites:
1 Sb 0.0000 0.0000 0.0000
2 Sb 0.1977 0.1969 0.6014
3 Se 0.4646 0.5431 0.0714
4 Se 0.7331 0.8106 0.5300

---

Entry 8:
Calculated XRD peak list of Sb6Se7 for copper Kα, from a GGA-PBE-relaxed structure.
Peak positions follow from Bragg's law for the DFT cell and can differ from measured ones.

Peak list (6 most intense, 2θ from 10° to 80°, in order of rising 2θ)
- 28.11 deg, intensity 100, hkl 1 1 0
- 32.69 deg, intensity 47, hkl 0 2 1
- 33.12 deg, intensity 72, hkl 1 1 6
- 38.55 deg, intensity 52, hkl 0 2 7
- 40.23 deg, intensity 58, hkl 2 0 8
- 45.29 deg, intensity 48, hkl 1 1 12

Structural model:
Unit cell a=6.3513 b=6.3513 c=30.9563 alpha=90.00 beta=90.00 gamma=120.00
Space group R-3m (No. 166, hexagonal axes)
Unique sites:
1 Sb 0.0000 0.0000 0.0722
2 Sb 0.0000 0.0000 0.1659
3 Sb 0.0000 0.0000 0.3299
4 Se 0.0000 0.0000 0.5000
5 Se 0.0088 0.5044 0.0676